Computed powder diffraction line list of Tm2CuF8 for Cu Kα, from a DFT-relaxed cell (PBE, Alexandria).
No peak broadening, texture or thermal motion is included.

Most intense lines, 10° ≤ 2θ ≤ 90°, low angle first:
15.32°, intensity 14
18.64°, intensity 100
28.19°, intensity 26
31.55°, intensity 37
31.78°, intensity 29
33.57°, intensity 15
34.45°, intensity 14
35.08°, intensity 13
41.46°, intensity 32
42.02°, intensity 20
51.89°, intensity 16
52.36°, intensity 13

Structure:
```
Tm2CuF8
1.0
7.8193 -1.6736 0.0000
7.8193 1.6736 0.0000
-0.2813 0.0000 5.7828
Tm Cu F
2 1 8
Direct
0.1541 0.1541 0.3431
0.8459 0.8459 0.6569
0.5000 0.5000 0.0000
0.0156 0.0156 0.2168
0.2434 0.2434 0.6688
0.3723 0.3723 0.9318
0.3925 0.3925 0.4710
0.6075 0.6075 0.5290
0.6277 0.6277 0.0682
0.7566 0.7566 0.3312
0.9844 0.9844 0.7832
```